[1]
Structure and computed X-ray powder pattern of CeTm3Fe (a DFT-relaxed cell (PBE, Alexandria); a wavelength of 1.5418 Å).
Peak positions follow from Bragg's law for the DFT cell and can differ from measured ones.

Most intense lines, 2θ = 10–80°, most intense first:
- 2θ = 31.1°, rel. 100
- 2θ = 32.8°, rel. 67
- 2θ = 37.0°, rel. 61
- 2θ = 53.5°, rel. 36
- 2θ = 33.2°, rel. 30
- 2θ = 61.8°, rel. 28
- 2θ = 28.2°, rel. 26
- 2θ = 64.6°, rel. 19
- 2θ = 52.0°, rel. 14
- 2θ = 53.9°, rel. 13

Crystal structure
```
data_CeTm3Fe
_chemical_formula_sum 'Ce2 Tm6 Fe2'
_space_group_name_H-M_alt 'P 1 21/m 1'
_space_group_IT_number 11
_cell_length_a 3.5189
_cell_length_b 6.7983
_cell_length_c 10.9386
_cell_angle_alpha 90.00
_cell_angle_beta 99.25
_cell_angle_gamma 90.00
loop_
_space_group_symop_operation_xyz
'x,y,z'
'-x,-y,-z'
'-x,y+1/2,-z'
'x,-y+1/2,z'
loop_
_atom_site_label
_atom_site_type_symbol
_atom_site_fract_x
_atom_site_fract_y
_atom_site_fract_z
Ce1 Ce 0.2383 0.2500 0.4773
Tm1 Tm 0.0009 0.2500 0.0015
Tm2 Tm 0.3830 0.0073 0.7655
Fe1 Fe 0.1928 0.7500 0.3866
```


[2]
Structure and computed X-ray powder pattern of Ho5TlSn2 (a DFT-relaxed cell (PBE, Alexandria); a wavelength of 1.5418 Å).
Peak positions follow from Bragg's law for the DFT cell and can differ from measured ones.

Most intense lines, 2θ = 10–80°, most intense first:
- 2θ = 32.5°, rel. 100
- 2θ = 37.2°, rel. 35
- 2θ = 64.2°, rel. 29
- 2θ = 54.7°, rel. 23
- 2θ = 38.6°, rel. 16
- 2θ = 66.0°, rel. 13
- 2θ = 53.7°, rel. 12
- 2θ = 68.1°, rel. 12
- 2θ = 79.4°, rel. 4
- 2θ = 18.4°, rel. 2

Crystal structure
```
data_Ho5TlSn2
_chemical_formula_sum 'Ho10 Tl2 Sn4'
_space_group_name_H-M_alt 'I 4/m m m'
_space_group_IT_number 139
_space_group_name_Hall '-I 4 2'
_cell_length_a 6.8279
_cell_length_b 6.8279
_cell_length_c 9.3257
_cell_angle_alpha 90.00
_cell_angle_beta 90.00
_cell_angle_gamma 90.00
loop_
_atom_site_label
_atom_site_type_symbol
_atom_site_fract_x
_atom_site_fract_y
_atom_site_fract_z
Ho1 Ho 0.0000 0.0000 0.0000
Ho2 Ho 0.2500 0.2500 0.2500
Tl1 Tl 0.0000 0.0000 0.5000
Sn1 Sn 0.0000 0.5000 0.0000
```


Repeat the second record exactly.
Structure and computed X-ray powder pattern of Ho5TlSn2 (a DFT-relaxed cell (PBE, Alexandria); a wavelength of 1.5418 Å).
Peak positions follow from Bragg's law for the DFT cell and can differ from measured ones.

Most intense lines, 2θ = 10–80°, most intense first:
- 2θ = 32.5°, rel. 100
- 2θ = 37.2°, rel. 35
- 2θ = 64.2°, rel. 29
- 2θ = 54.7°, rel. 23
- 2θ = 38.6°, rel. 16
- 2θ = 66.0°, rel. 13
- 2θ = 53.7°, rel. 12
- 2θ = 68.1°, rel. 12
- 2θ = 79.4°, rel. 4
- 2θ = 18.4°, rel. 2

Crystal structure
```
data_Ho5TlSn2
_chemical_formula_sum 'Ho10 Tl2 Sn4'
_space_group_name_H-M_alt 'I 4/m m m'
_space_group_IT_number 139
_space_group_name_Hall '-I 4 2'
_cell_length_a 6.8279
_cell_length_b 6.8279
_cell_length_c 9.3257
_cell_angle_alpha 90.00
_cell_angle_beta 90.00
_cell_angle_gamma 90.00
loop_
_atom_site_label
_atom_site_type_symbol
_atom_site_fract_x
_atom_site_fract_y
_atom_site_fract_z
Ho1 Ho 0.0000 0.0000 0.0000
Ho2 Ho 0.2500 0.2500 0.2500
Tl1 Tl 0.0000 0.0000 0.5000
Sn1 Sn 0.0000 0.5000 0.0000
```